Record 1
NaAlSiO4: theoretical powder X-ray diffraction pattern (CuKα), based on a structure optimized by DFT (GGA-PBE).
Intensities are scaled so that the largest is 100.

Main lines, sorted by position (15 to 90 degrees two-theta):
| 2θ/deg | d (Å) | I (rel.) | (hkl) |
| --- | --- | --- | --- |
| 20.34 | 4.365 | 23 | 2 0 0 |
| 20.82 | 4.266 | 57 | 0 0 2 |
| 22.88 | 3.886 | 85 | 2 0 1 |
| 27.02 | 3.300 | 74 | 2 1 0 |
| 29.27 | 3.051 | 100 | 2 0 2 |
| 30.72 | 2.910 | 53 | 3 0 0 |
| 34.36 | 2.610 | 27 | 2 1 2 |
| 37.75 | 2.383 | 53 | 2 0 3 |
| 38.65 | 2.329 | 35 | 1 3 1 |
| 42.38 | 2.133 | 17 | 0 0 4 |
| 58.04 | 1.589 | 21 | 2 0 5 |
| 66.93 | 1.398 | 30 | 2 5 0 |

a = 10.0812 Å, b = 10.0812 Å, c = 8.5314 Å
α = 90.00°, β = 90.00°, γ = 120.00°
Space group P6_3 (No. 173)
Unique sites:
Na  0.0000  0.0000  0.0000 (multiplicity 2)
Na  0.0130  0.4444  0.0022 (multiplicity 6)
Al  0.0915  0.3311  0.6883 (multiplicity 6)
Al  0.3333  0.6667  0.2012 (multiplicity 2)
Si  0.0912  0.3301  0.3178 (multiplicity 6)
Si  0.3333  0.6667  0.8072 (multiplicity 2)
O  0.0206  0.3094  0.4957 (multiplicity 6)
O  0.0422  0.7784  0.6920 (multiplicity 6)
O  0.0569  0.7792  0.3213 (multiplicity 6)
O  0.1606  0.5081  0.2624 (multiplicity 6)
O  0.1709  0.5230  0.7462 (multiplicity 6)
O  0.3333  0.6667  0.9979 (multiplicity 2)



Record 2
Na6Ta3InSi6O24: theoretical powder X-ray diffraction pattern (CuKα), based on a structure optimized by DFT (GGA-PBE).
Intensities are scaled so that the largest is 100.

Main lines, sorted by position (15 to 90 degrees two-theta):
| 2θ/deg | d (Å) | I (rel.) | (hkl) |
| --- | --- | --- | --- |
| 19.45 | 4.565 | 100 | 1 -1 1 |
| 19.52 | 4.548 | 57 | 1 -2 0 |
| 27.62 | 3.229 | 23 | 2 0 0 |
| 27.78 | 3.212 | 13 | -2 2 2 |
| 30.94 | 2.890 | 38 | 1 1 -3 |
| 31.06 | 2.879 | 20 | -1 2 2 |
| 34.08 | 2.631 | 48 | 0 3 -1 |
| 34.17 | 2.624 | 16 | -3 3 1 |
| 44.33 | 2.043 | 11 | 3 -1 1 |
| 46.68 | 1.946 | 13 | 2 2 0 |
| 53.20 | 1.722 | 18 | -5 1 3 |
| 53.33 | 1.718 | 10 | -4 5 1 |

a = 9.0944 Å, b = 9.0968 Å, c = 9.1188 Å
α = 90.29°, β = 119.69°, γ = 119.83°
Space group P1 (No. 1)
Unique sites:
Na  0.0000  0.0000  0.0000 (multiplicity 1)
Na  0.0047  0.5020  0.5113 (multiplicity 1)
Na  0.1383  0.2578  0.7588 (multiplicity 1)
Na  0.4574  0.0762  0.2064 (multiplicity 1)
Na  0.5132  0.8789  0.7797 (multiplicity 1)
Na  0.8425  0.7472  0.2352 (multiplicity 1)
Ta  0.2922  0.1468  0.4375 (multiplicity 1)
Ta  0.7041  0.8448  0.5629 (multiplicity 1)
Ta  0.7162  0.3550  0.0682 (multiplicity 1)
In  0.2800  0.6388  0.9347 (multiplicity 1)
Si  0.2052  0.9592  0.7484 (multiplicity 1)
Si  0.2075  0.7455  0.2543 (multiplicity 1)
Si  0.4877  0.4462  0.2391 (multiplicity 1)
Si  0.5127  0.5435  0.7554 (multiplicity 1)
Si  0.7826  0.2406  0.7426 (multiplicity 1)
Si  0.7923  0.0411  0.2510 (multiplicity 1)
O  0.0032  0.0831  0.2767 (multiplicity 1)
O  0.0089  0.5666  0.2369 (multiplicity 1)
O  0.0113  0.9450  0.7360 (multiplicity 1)
O  0.1770  0.9085  0.2736 (multiplicity 1)
O  0.2004  0.0122  0.5750 (multiplicity 1)
O  0.2015  0.7804  0.7448 (multiplicity 1)
O  0.2214  0.7467  0.0851 (multiplicity 1)
O  0.3354  0.5546  0.7432 (multiplicity 1)
O  0.3379  0.4552  0.0533 (multiplicity 1)
O  0.3506  0.2567  0.2641 (multiplicity 1)
O  0.4008  0.3715  0.5870 (multiplicity 1)
O  0.4209  0.1380  0.9276 (multiplicity 1)
O  0.4236  0.7882  0.4350 (multiplicity 1)
O  0.5578  0.1789  0.5653 (multiplicity 1)
O  0.6046  0.8647  0.0732 (multiplicity 1)
O  0.6189  0.6303  0.4094 (multiplicity 1)
O  0.6463  0.5097  0.9397 (multiplicity 1)
O  0.6688  0.4400  0.2419 (multiplicity 1)
O  0.6738  0.7280  0.7422 (multiplicity 1)
O  0.7748  0.2818  0.9162 (multiplicity 1)
O  0.7836  0.2174  0.2352 (multiplicity 1)
O  0.7874  0.9997  0.4269 (multiplicity 1)
O  0.7899  0.0620  0.7415 (multiplicity 1)
O  0.9688  0.4007  0.7395 (multiplicity 1)



Record 3
LaCuO3: theoretical powder X-ray diffraction pattern (CuKα), based on a structure optimized by DFT (GGA-PBE).
Intensities are scaled so that the largest is 100.

Main lines, sorted by position (15 to 90 degrees two-theta):
| 2θ/deg | d (Å) | I (rel.) | (hkl) |
| --- | --- | --- | --- |
| 22.85 | 3.892 | 18 | 0 1 2 |
| 32.17 | 2.782 | 100 | 1 1 0 |
| 32.90 | 2.723 | 99 | 1 0 4 |
| 39.83 | 2.263 | 18 | 2 0 2 |
| 46.68 | 1.946 | 59 | 0 2 4 |
| 57.36 | 1.606 | 23 | 3 0 0 |
| 57.82 | 1.595 | 41 | 2 1 4 |
| 59.19 | 1.561 | 18 | 0 1 8 |
| 67.31 | 1.391 | 16 | 2 2 0 |
| 68.99 | 1.361 | 17 | 2 0 8 |
| 76.97 | 1.239 | 16 | 1 3 4 |
| 78.17 | 1.223 | 17 | 1 2 8 |

a = 5.5645 Å, b = 5.5645 Å, c = 13.1989 Å
α = 90.00°, β = 90.00°, γ = 120.00°
Space group R-3c (No. 167, hexagonal axes)
Unique sites:
La  0.0000  0.0000  0.2500 (multiplicity 6)
Cu  0.0000  0.0000  0.0000 (multiplicity 6)
O  0.0000  0.4391  0.2500 (multiplicity 18)



Record 4
BiPt3: theoretical powder X-ray diffraction pattern (CuKα), based on a structure optimized by DFT (GGA-PBE).
Intensities are scaled so that the largest is 100.

Main lines, sorted by position (15 to 90 degrees two-theta):
| 2θ/deg | d (Å) | I (rel.) | (hkl) |
| --- | --- | --- | --- |
| 37.20 | 2.417 | 100 | 1 1 1 |
| 43.22 | 2.093 | 50 | 2 0 0 |
| 62.78 | 1.480 | 33 | 2 2 0 |
| 75.29 | 1.262 | 40 | 3 1 1 |
| 79.27 | 1.209 | 12 | 2 2 2 |

a = 4.1865 Å, b = 4.1865 Å, c = 4.1865 Å
α = 90.00°, β = 90.00°, γ = 90.00°
Space group Pm-3m (No. 221)
Unique sites:
Bi  0.0000  0.0000  0.0000 (multiplicity 1)
Pt  0.0000  0.5000  0.5000 (multiplicity 3)